# Li2Ti2V3O10
Simulated X-ray diffraction stick pattern, Cu Kα. Input: a PBE+U-relaxed structure.

Cell and atoms:
Lattice parameters (Å, degrees): 6.4350 8.1678 8.1699 77.04 68.43 89.27
Space group P-1 (No. 2)
Inequivalent atoms, fractional coordinates:
Li 0.1843 0.1375 0.3955
Li 0.3147 0.3705 0.6053
Ti 0.2209 0.7169 0.6854
Ti 0.2670 0.7822 0.3138
V 0.1196 0.5830 0.1038
V 0.2454 0.2491 0.0039
V 0.3801 0.9204 0.8885
O 0.0150 0.6839 0.3178
O 0.0887 0.8027 0.9356
O 0.1262 0.3448 0.2188
O 0.1602 0.8879 0.5092
O 0.2065 0.4922 0.8618
O 0.3032 0.0121 0.1387
O 0.3461 0.6176 0.4851
O 0.3560 0.1383 0.7898
O 0.4203 0.7131 0.0617
O 0.4785 0.8198 0.6891

Peak list (10 most intense, 5 to 70 degrees two-theta, in order of rising 2θ)
2theta  intensity
12.0  59
17.9  100
22.4  17
26.8  19
27.7  21
30.0  13
38.2  43
44.2  31
45.3  28
59.8  16